Record 1
Structure and calculated powder XRD pattern of K4MnBi3O8 (a PBE+U-relaxed structure; Cu Kα, 1.54184 Å).
Peak positions follow from Bragg's law for the DFT cell and can differ from measured ones.

```
data_K4MnBi3O8
_cell_length_a 12.2791
_cell_length_b 7.0764
_cell_length_c 7.4736
_cell_angle_alpha 90.00
_cell_angle_beta 123.32
_cell_angle_gamma 90.00
_symmetry_space_group_name_H-M 'C 1 2/m 1'
_symmetry_Int_Tables_number 12
_symmetry_space_group_name_Hall '-C 2y'
loop_
_atom_site_label
_atom_site_type_symbol
_atom_site_fract_x
_atom_site_fract_y
_atom_site_fract_z
K1 K 0.0000 0.0000 0.0000
K2 K 0.0000 0.5000 0.0000
K3 K 0.2500 0.2500 0.0000
Mn1 Mn 0.0000 0.0000 0.5000
Bi1 Bi 0.0000 0.5000 0.5000
Bi2 Bi 0.2500 0.2500 0.5000
O1 O 0.0154 0.2512 0.3073
O2 O 0.2227 0.0000 0.6893
O3 O 0.2325 0.5000 0.7065
```

Principal peaks in the range 5° ≤ 2θ ≤ 70°, low angle first:
14.18°, I = 94; 28.59°, I = 33; 29.51°, I = 41; 30.67°, I = 77; 34.97°, I = 100; 51.62°, I = 32


Record 2
Structure and calculated powder XRD pattern of KPrMnBiO6 (a PBE+U-relaxed structure; Cu Kα, 1.54184 Å).
Peak positions follow from Bragg's law for the DFT cell and can differ from measured ones.

```
data_KPrMnBiO6
_cell_length_a 8.1651
_cell_length_b 8.1651
_cell_length_c 8.1651
_cell_angle_alpha 90.00
_cell_angle_beta 90.00
_cell_angle_gamma 90.00
_symmetry_space_group_name_H-M 'F -4 3 m'
_symmetry_Int_Tables_number 216
_symmetry_space_group_name_Hall 'F -4 2 3'
loop_
_atom_site_label
_atom_site_type_symbol
_atom_site_fract_x
_atom_site_fract_y
_atom_site_fract_z
K1 K 0.0000 0.0000 0.0000
Pr1 Pr 0.0000 0.0000 0.5000
Mn1 Mn 0.2500 0.2500 0.2500
Bi1 Bi 0.2500 0.2500 0.7500
O1 O 0.0120 0.2500 0.2500
```

Principal peaks in the range 5° ≤ 2θ ≤ 70°, low angle first:
18.82°, I = 38; 30.98°, I = 100; 36.50°, I = 26; 44.38°, I = 31; 55.10°, I = 40; 64.57°, I = 19